Simulated powder diffraction line list
Compound: CeMg2GaRu2
Radiation: Cu Ka
Structure: a cell relaxed with GGA-PBE
Intensities are scaled so that the largest is 1000.

Main lines, in order of rising 2θ (5 to 70 degrees two-theta):
2theta  d/Å  Rel. int.  hkl
10.4  8.519  965  0 1 0
24.3  3.660  439  0 2 1
29.4  3.038  610  1 1 1
34.7  2.585  604  1 2 1
35.1  2.556  390  1 0 2
36.7  2.448  1000  1 1 2
42.3  2.139  533  1 3 1
43.5  2.082  639  0 2 3

Atomic structure:
Cell: 3.650 8.519 7.162 Å, 90.00 90.00 90.00°
Space group Pmc2_1 (No. 26)
One atom of each set of equivalent atoms:
Ce 0.000 0.106 0.000 [2 per cell]
Mg 0.000 0.321 0.407 [2 per cell]
Mg 0.500 0.440 0.098 [2 per cell]
Ga 0.500 0.188 0.653 [2 per cell]
Ru 0.000 0.365 0.804 [2 per cell]
Ru 0.500 0.098 0.290 [2 per cell]